[1]
This entry pairs a crystal structure of Pu5InRh6 with its theoretical X-ray powder pattern. Radiation: Cu Kα (λ = 1.5418 Å). Structure: a structure optimized by DFT (PBE).
Lines closer than 0.1° are merged.

Principal peaks in the range 2θ from 5° to 70°, sorted by position:
36.98 deg, rel. 26
37.34 deg, rel. 100
38.29 deg, rel. 23
54.28 deg, rel. 17
66.87 deg, rel. 18
68.60 deg, rel. 17

Structural model:
```
12
Lattice="2.351 -7.293 0.000 2.351 7.293 0.000 0.000 0.000 6.866" Properties=species:S:1:pos:R:3 pbc="T T T"
Pu 0.000 0.000 0.000
Pu 2.351 2.443 0.000
Pu 2.351 2.359 3.433
Pu 2.351 -2.359 3.433
Pu 2.351 -2.443 0.000
In 0.000 0.000 3.433
Rh 2.351 4.890 1.785
Rh 2.351 4.890 5.082
Rh 2.351 0.000 1.712
Rh 2.351 0.000 5.154
Rh 2.351 -4.890 1.785
Rh 2.351 -4.890 5.082
```

[2]
This entry pairs a crystal structure of Pu3In3Ru2Rh with its theoretical X-ray powder pattern. Radiation: Cu Kα (λ = 1.5418 Å). Structure: a structure optimized by DFT (PBE).
Lines closer than 0.1° are merged.

Principal peaks in the range 2θ from 5° to 70°, sorted by position:
32.97 deg, rel. 100
35.84 deg, rel. 93
36.72 deg, rel. 48
45.88 deg, rel. 23
56.25 deg, rel. 30
67.33 deg, rel. 25

Structural model:
```
9
Lattice="7.477 0.000 0.000 -3.739 6.475 0.000 0.000 0.000 3.956" Properties=species:S:1:pos:R:3 pbc="T T T"
Pu -2.185 3.785 0.000
Pu 1.554 2.691 0.000
Pu 4.370 0.000 0.000
In -0.943 1.632 1.978
In 1.885 0.000 1.978
In 2.796 4.843 1.978
Ru 0.000 4.317 1.978
Ru 3.739 2.158 1.978
Rh 0.000 0.000 0.000
```